[1]
Ca4CuAu3: calculated powder X-ray diffraction pattern (copper Kα), based on a structure optimized by DFT (GGA-PBE).

Main lines, in order of rising 2θ (15° ≤ 2θ ≤ 90°):
2θ (°), Rel. int., (hkl)
15.98, 33, 0 0 2
22.79, 56, 1 0 1
25.71, 27, 0 1 2
30.51, 51, 1 1 1
38.33, 100, 1 1 3
40.67, 21, 0 2 0

Structural model:
abc: 4.1681 4.4373 11.0896
angles: 90.00 90.00 90.00
Space group Pmm2 (No. 25)
Symmetry-distinct sites (fractional):
Ca (0.0000, 0.0000, 0.0000) x1
Ca (0.0000, 0.5000, 0.2787) x1
Ca (0.5000, 0.0000, 0.4970) x1
Ca (0.5000, 0.5000, 0.7824) x1
Cu (0.5000, 0.0000, 0.2074) x1
Au (0.0000, 0.0000, 0.7228) x1
Au (0.0000, 0.5000, 0.5547) x1
Au (0.5000, 0.5000, 0.0715) x1

[2]
Ca5Cu2Au12: calculated powder X-ray diffraction pattern (copper Kα), based on a structure optimized by DFT (GGA-PBE).

Main lines, in order of rising 2θ (15° ≤ 2θ ≤ 90°):
2θ (°), Rel. int., (hkl)
23.12, 72, 4 0 0
34.92, 66, 5 1 1
35.11, 100, 4 2 -1
37.80, 63, 2 2 2
38.44, 47, 1 3 -1
41.70, 73, 3 3 -1

Structural model:
abc: 15.4358 7.5244 6.9632
angles: 90.00 94.57 90.00
Space group C2/m (No. 12)
Symmetry-distinct sites (fractional):
Ca (0.0000, 0.0000, 0.0000) x2
Ca (0.1899, 0.5000, 0.5451) x4
Ca (0.2439, 0.0000, 0.9292) x4
Cu (0.0000, 0.3027, 0.5000) x4
Au (0.0553, 0.5000, 0.2036) x4
Au (0.0969, 0.0000, 0.5896) x4
Au (0.1032, 0.2984, 0.8462) x8
Au (0.1491, 0.1860, 0.2523) x8

[3]
CaCu2Au10: calculated powder X-ray diffraction pattern (copper Kα), based on a structure optimized by DFT (GGA-PBE).

Main lines, in order of rising 2θ (15° ≤ 2θ ≤ 90°):
2θ (°), Rel. int., (hkl)
32.84, 69, 1 3 3
37.96, 90, 0 4 4
38.40, 73, 2 2 2
38.53, 94, 1 5 1
42.76, 100, 2 0 4
43.33, 71, 2 4 0

Structural model:
abc: 5.3939 13.2014 13.6277
angles: 90.00 90.00 90.00
Space group Fmmm (No. 69)
Symmetry-distinct sites (fractional):
Ca (0.0000, 0.0000, 0.0000) x4
Cu (0.2500, 0.2500, 0.0000) x8
Au (0.0000, 0.1111, 0.3970) x16
Au (0.0000, 0.1795, 0.1633) x16
Au (0.2500, 0.0000, 0.2500) x8

[4]
CaCuAu6: calculated powder X-ray diffraction pattern (copper Kα), based on a structure optimized by DFT (GGA-PBE).

Main lines, in order of rising 2θ (15° ≤ 2θ ≤ 90°):
2θ (°), Rel. int., (hkl)
23.69, 27, 1 0 1
32.53, 60, 1 1 1
36.10, 24, 1 1 2
41.45, 100, 1 1 3
44.79, 52, 2 0 0
80.28, 30, 3 1 3

Structural model:
abc: 4.0466 4.0466 10.0772
angles: 90.00 90.00 90.00
Space group P4/mmm (No. 123)
Symmetry-distinct sites (fractional):
Ca (0.0000, 0.0000, 0.0000) x1
Cu (0.0000, 0.0000, 0.5000) x1
Au (0.0000, 0.5000, 0.3339) x4
Au (0.5000, 0.5000, 0.1333) x2

[5]
CaCu6Au6: calculated powder X-ray diffraction pattern (copper Kα), based on a structure optimized by DFT (GGA-PBE).

Main lines, in order of rising 2θ (15° ≤ 2θ ≤ 90°):
2θ (°), Rel. int., (hkl)
28.00, 45, 0 2 2
34.66, 100, 2 0 0
40.13, 76, 2 0 2
44.84, 45, 0 2 4
45.14, 84, 2 2 2
72.48, 37, 2 0 6

Structural model:
abc: 5.1690 8.9790 9.0585
angles: 90.00 90.00 90.00
Space group Immm (No. 71)
Symmetry-distinct sites (fractional):
Ca (0.0000, 0.0000, 0.0000) x2
Cu (0.0000, 0.5000, 0.2638) x4
Cu (0.2500, 0.2500, 0.2500) x8
Au (0.0000, 0.0000, 0.3379) x4
Au (0.0000, 0.3130, 0.5000) x4
Au (0.0000, 0.3424, 0.0000) x4

[6]
Ca5Cu2Au: calculated powder X-ray diffraction pattern (copper Kα), based on a structure optimized by DFT (GGA-PBE).

Main lines, in order of rising 2θ (15° ≤ 2θ ≤ 90°):
2θ (°), Rel. int., (hkl)
20.28, 100, 1 1 2
29.17, 31, 1 1 4
31.73, 56, 2 1 3
33.61, 69, 2 0 4
37.04, 62, 3 1 0
40.11, 33, 1 1 6

Structural model:
abc: 7.6759 7.6759 14.8308
angles: 90.00 90.00 90.00
Space group I4/mcm (No. 140)
Symmetry-distinct sites (fractional):
Ca (0.0000, 0.0000, 0.0000) x4
Ca (0.1727, 0.3273, 0.1437) x16
Cu (0.1137, 0.3863, 0.5000) x8
Au (0.0000, 0.0000, 0.2500) x4

[7]
CaGa2Cu4Au: calculated powder X-ray diffraction pattern (copper Kα), based on a structure optimized by DFT (GGA-PBE).

Main lines, in order of rising 2θ (15° ≤ 2θ ≤ 90°):
2θ (°), Rel. int., (hkl)
24.81, 27, 1 0 1
25.46, 23, 0 1 2
36.22, 100, 0 1 8
43.30, 99, 1 1 0
44.32, 23, 0 1 11
57.69, 25, 2 0 8

Structural model:
abc: 4.1794 4.1794 27.2380
angles: 90.00 90.00 120.00
Space group R-3m (No. 166, hexagonal axes)
Symmetry-distinct sites (fractional):
Ca (0.0000, 0.0000, 0.0000) x3
Ga (0.0000, 0.0000, 0.2494) x6
Cu (0.0000, 0.0000, 0.1170) x6
Cu (0.0000, 0.0000, 0.4057) x6
Au (0.0000, 0.0000, 0.5000) x3

[8]
CaCuSi2Au: calculated powder X-ray diffraction pattern (copper Kα), based on a structure optimized by DFT (GGA-PBE).

Main lines, in order of rising 2θ (15° ≤ 2θ ≤ 90°):
2θ (°), Rel. int., (hkl)
17.41, 62, 0 0 2
22.97, 46, 1 0 1
33.99, 24, 1 0 3
35.07, 100, 1 1 2
43.23, 37, 2 0 0
47.07, 34, 1 1 4

Structural model:
abc: 4.1854 4.1854 10.1888
angles: 90.00 90.00 90.00
Space group I-4m2 (No. 119)
Symmetry-distinct sites (fractional):
Ca (0.0000, 0.0000, 0.0000) x2
Cu (0.0000, 0.5000, 0.2500) x2
Si (0.0000, 0.0000, 0.3861) x4
Au (0.0000, 0.5000, 0.7500) x2

[9]
CaCuSiAu6: calculated powder X-ray diffraction pattern (copper Kα), based on a structure optimized by DFT (GGA-PBE).

Main lines, in order of rising 2θ (15° ≤ 2θ ≤ 90°):
2θ (°), Rel. int., (hkl)
32.02, 100, 2 2 0
33.90, 32, 1 2 3
38.27, 60, 0 2 4
40.21, 50, 0 4 0
41.31, 28, 2 0 4
46.20, 28, 2 2 4

Structural model:
abc: 7.1491 8.9698 11.0492
angles: 90.00 90.00 90.00
Space group Imma (No. 74)
Symmetry-distinct sites (fractional):
Ca (0.0000, 0.2500, 0.2105) x4
Cu (0.2500, 0.2500, 0.7500) x4
Si (0.0000, 0.0000, 0.0000) x4
Au (0.0000, 0.2500, 0.4986) x4
Au (0.0000, 0.2500, 0.9195) x4
Au (0.2004, 0.0034, 0.3719) x16

[10]
CaCu2SiAu5: calculated powder X-ray diffraction pattern (copper Kα), based on a structure optimized by DFT (GGA-PBE).

Main lines, in order of rising 2θ (15° ≤ 2θ ≤ 90°):
2θ (°), Rel. int., (hkl)
27.49, 100, 1 0 3
37.24, 66, 1 2 1
38.49, 47, 2 0 0
41.17, 38, 0 2 4
41.93, 42, 1 2 3
57.62, 28, 2 2 4

Structural model:
abc: 4.6772 5.7642 13.5163
angles: 90.00 90.00 90.00
Space group Immm (No. 71)
Symmetry-distinct sites (fractional):
Ca (0.0000, 0.0000, 0.0000) x2
Cu (0.0000, 0.5000, 0.1886) x4
Si (0.0000, 0.0000, 0.5000) x2
Au (0.0000, 0.2567, 0.3478) x8
Au (0.0000, 0.5000, 0.0000) x2

[11]
CaHoEr2Au4: calculated powder X-ray diffraction pattern (copper Kα), based on a structure optimized by DFT (GGA-PBE).

Main lines, in order of rising 2θ (15° ≤ 2θ ≤ 90°):
2θ (°), Rel. int., (hkl)
35.32, 98, 0 1 8
35.53, 100, 1 1 0
50.96, 35, 2 0 8
63.26, 17, 1 0 16
63.66, 36, 1 2 8
63.80, 18, 3 0 0

Structural model:
abc: 5.0540 5.0540 24.9709
angles: 90.00 90.00 120.00
Space group R-3m (No. 166, hexagonal axes)
Symmetry-distinct sites (fractional):
Ca (0.0000, 0.0000, 0.0000) x3
Ho (0.0000, 0.0000, 0.5000) x3
Er (0.0000, 0.0000, 0.2515) x6
Au (0.0000, 0.0000, 0.1300) x6
Au (0.0000, 0.0000, 0.3790) x6

[12]
CaEr2ScAu4: calculated powder X-ray diffraction pattern (copper Kα), based on a structure optimized by DFT (GGA-PBE).

Main lines, in order of rising 2θ (15° ≤ 2θ ≤ 90°):
2θ (°), Rel. int., (hkl)
25.15, 22, 1 0 4
35.62, 95, 0 1 8
36.10, 100, 1 1 0
51.62, 33, 2 0 8
64.60, 34, 1 2 8
64.92, 18, 3 0 0

Structural model:
abc: 4.9760 4.9760 24.8624
angles: 90.00 90.00 120.00
Space group R-3m (No. 166, hexagonal axes)
Symmetry-distinct sites (fractional):
Ca (0.0000, 0.0000, 0.0000) x3
Er (0.0000, 0.0000, 0.2500) x6
Sc (0.0000, 0.0000, 0.5000) x3
Au (0.0000, 0.0000, 0.1315) x6
Au (0.0000, 0.0000, 0.3826) x6